The following is a theoretical XRD peak list of Ce3SmB2N6. It was derived from the GGA-PBE geometry in Alexandria, using Cu Kα.
No peak broadening, texture or thermal motion is included.

abc: 5.643 5.643 6.369
angles: 90.00 90.00 120.00
Atoms (fractional coordinates):
Ce1 0.000 0.000 0.000
Ce2 0.333 0.667 0.671
Ce3 0.667 0.333 0.329
Sm1 0.000 0.000 0.500
B1 0.333 0.667 0.240
B2 0.667 0.333 0.760
N1 0.185 0.370 0.261
N2 0.185 0.815 0.261
N3 0.370 0.185 0.739
N4 0.630 0.815 0.261
N5 0.815 0.185 0.739
N6 0.815 0.630 0.739

Top 10 peaks for 2θ = 10–80°, low angle first:
2theta, intensity, index
13.9, 17, 0 0 1
18.2, 26, 1 0 0
22.9, 42, 1 0 1
31.7, 100, 1 1 0
33.6, 97, 0 1 2
39.5, 25, 0 2 1
46.9, 45, 2 0 2
56.5, 19, 3 0 0
57.7, 37, 1 2 2
76.4, 18, 3 1 2